[1]
Simulated X-ray diffraction stick pattern
Compound: GeBPt6Pb2
Radiation: copper Kα
Structure: a PBE-relaxed structure
Kinematic intensities with the Lorentz-polarization factor, no thermal factor.

The 6 most intense peaks (10° ≤ 2θ ≤ 90°), most intense first:
d 2.433, intensity 100
d 2.369, intensity 50
d 3.220, intensity 45
d 2.193, intensity 43
d 2.190, intensity 43
d 3.136, intensity 29

Structure:
a = 5.745 Å, b = 5.745 Å, c = 7.081 Å
α = 68.88°, β = 69.00°, γ = 60.34°
Positions (direct):
Ge (0.000, 0.000, 0.000)
B (0.500, 0.500, 0.500)
Pt (0.191, 0.719, 0.326)
Pt (0.274, 0.273, 0.715)
Pt (0.287, 0.805, 0.676)
Pt (0.713, 0.195, 0.324)
Pt (0.726, 0.727, 0.285)
Pt (0.809, 0.281, 0.674)
Pb (0.269, 0.273, 0.155)
Pb (0.731, 0.727, 0.845)


[2]
Simulated X-ray diffraction stick pattern
Compound: Pm6Ge2B
Radiation: copper Kα
Structure: a PBE-relaxed structure
Kinematic intensities with the Lorentz-polarization factor, no thermal factor.

The 6 most intense peaks (10° ≤ 2θ ≤ 90°), most intense first:
d 2.875, intensity 100
d 2.635, intensity 91
d 2.657, intensity 75
d 1.620, intensity 42
d 1.749, intensity 33
d 3.539, intensity 23

Structure:
a = 4.107 Å, b = 8.048 Å, c = 8.048 Å
α = 119.97°, β = 90.00°, γ = 90.00°
Positions (direct):
Pm (0.000, 0.000, 0.000)
Pm (0.000, 0.533, 0.766)
Pm (0.000, 0.766, 0.533)
Pm (0.500, 0.189, 0.766)
Pm (0.500, 0.343, 0.343)
Pm (0.500, 0.766, 0.189)
Ge (0.000, 0.099, 0.433)
Ge (0.000, 0.433, 0.099)
B (0.500, 0.767, 0.767)


[3]
Simulated X-ray diffraction stick pattern
Compound: Pm3Ge2BRu3
Radiation: copper Kα
Structure: a PBE-relaxed structure
Kinematic intensities with the Lorentz-polarization factor, no thermal factor.

The 6 most intense peaks (10° ≤ 2θ ≤ 90°), most intense first:
d 2.578, intensity 100
d 2.390, intensity 62
d 2.110, intensity 20
d 3.654, intensity 16
d 1.448, intensity 16
d 1.291, intensity 16

Structure:
a = 7.308 Å, b = 7.308 Å, c = 3.637 Å
α = 90.00°, β = 90.00°, γ = 120.00°
Positions (direct):
Pm (0.000, 0.626, 0.000)
Pm (0.374, 0.374, 0.000)
Pm (0.626, 0.000, 0.000)
Ge (0.333, 0.667, 0.500)
Ge (0.667, 0.333, 0.500)
B (0.000, 0.000, 0.000)
Ru (0.000, 0.220, 0.500)
Ru (0.220, 0.000, 0.500)
Ru (0.780, 0.780, 0.500)


[4]
Simulated X-ray diffraction stick pattern
Compound: GeB2Pt6
Radiation: copper Kα
Structure: a PBE-relaxed structure
Kinematic intensities with the Lorentz-polarization factor, no thermal factor.

The 6 most intense peaks (10° ≤ 2θ ≤ 90°), most intense first:
d 2.273, intensity 100
d 2.768, intensity 58
d 2.464, intensity 49
d 2.102, intensity 44
d 2.953, intensity 35
d 2.341, intensity 33

Structure:
a = 9.342 Å, b = 9.342 Å, c = 5.514 Å
α = 101.49°, β = 101.49°, γ = 34.47°
Positions (direct):
Ge (0.203, 0.797, 0.750)
Ge (0.797, 0.203, 0.250)
B (0.049, 0.367, 0.180)
B (0.367, 0.049, 0.680)
B (0.633, 0.951, 0.320)
B (0.951, 0.633, 0.820)
Pt (0.108, 0.150, 0.382)
Pt (0.150, 0.108, 0.882)
Pt (0.288, 0.298, 0.481)
Pt (0.298, 0.288, 0.981)
Pt (0.338, 0.529, 0.344)
Pt (0.471, 0.662, 0.156)
Pt (0.529, 0.338, 0.844)
Pt (0.662, 0.471, 0.656)
Pt (0.702, 0.712, 0.019)
Pt (0.712, 0.702, 0.519)
Pt (0.850, 0.892, 0.118)
Pt (0.892, 0.850, 0.618)


[5]
Simulated X-ray diffraction stick pattern
Compound: Tb3GeB2Pt8
Radiation: copper Kα
Structure: a PBE-relaxed structure
Kinematic intensities with the Lorentz-polarization factor, no thermal factor.

The 6 most intense peaks (10° ≤ 2θ ≤ 90°), most intense first:
d 2.287, intensity 100
d 2.634, intensity 73
d 2.363, intensity 56
d 1.554, intensity 29
d 1.360, intensity 28
d 2.112, intensity 22

Structure:
a = 5.441 Å, b = 5.441 Å, c = 9.530 Å
α = 90.00°, β = 90.00°, γ = 120.00°
Positions (direct):
Tb (0.000, 0.000, 0.000)
Tb (0.333, 0.667, 0.587)
Tb (0.667, 0.333, 0.413)
Ge (0.000, 0.000, 0.500)
B (0.333, 0.667, 0.124)
B (0.667, 0.333, 0.876)
Pt (0.168, 0.335, 0.276)
Pt (0.168, 0.832, 0.276)
Pt (0.333, 0.667, 0.914)
Pt (0.335, 0.168, 0.724)
Pt (0.665, 0.832, 0.276)
Pt (0.667, 0.333, 0.086)
Pt (0.832, 0.168, 0.724)
Pt (0.832, 0.665, 0.724)


[6]
Simulated X-ray diffraction stick pattern
Compound: Pu3Ge2BRh3
Radiation: copper Kα
Structure: a PBE-relaxed structure
Kinematic intensities with the Lorentz-polarization factor, no thermal factor.

The 6 most intense peaks (10° ≤ 2θ ≤ 90°), most intense first:
d 2.582, intensity 100
d 3.484, intensity 30
d 2.281, intensity 29
d 2.374, intensity 23
d 2.011, intensity 17
d 1.534, intensity 16

Structure:
a = 6.967 Å, b = 6.967 Å, c = 3.846 Å
α = 90.00°, β = 90.00°, γ = 120.00°
Positions (direct):
Pu (0.000, 0.619, 0.000)
Pu (0.381, 0.381, 0.000)
Pu (0.619, 0.000, 0.000)
Ge (0.333, 0.667, 0.500)
Ge (0.667, 0.333, 0.500)
B (0.000, 0.000, 0.000)
Rh (0.000, 0.224, 0.500)
Rh (0.224, 0.000, 0.500)
Rh (0.776, 0.776, 0.500)